1.
The following is a theoretical powder diffractogram of La2SmNiPt8. It was derived from a cell relaxed with PBE, using copper Kα.
No peak broadening, texture or thermal motion is included.

Most intense lines, 2θ = 5–70°, sorted by position:
Position (°2θ), intensity
19.06, 14
30.24, 25
32.80, 13
38.21, 41
38.75, 100
40.50, 24
40.79, 27
41.82, 45
42.03, 16
45.21, 20
62.55, 34
68.76, 27

Cell and atoms:
abc: 9.394 9.394 9.394
angles: 33.80 33.80 33.80
Fractional coordinates of all 12 atoms:
La: 0.140 0.140 0.140
La: 0.860 0.860 0.860
Sm: 0.000 0.000 0.000
Ni: 0.500 0.500 0.500
Pt: 0.086 0.586 0.586
Pt: 0.332 0.332 0.332
Pt: 0.414 0.414 0.914
Pt: 0.414 0.914 0.414
Pt: 0.586 0.086 0.586
Pt: 0.586 0.586 0.086
Pt: 0.668 0.668 0.668
Pt: 0.914 0.414 0.414

***

2.
The following is a theoretical powder diffractogram of LaSm2Ni7Pt2. It was derived from a cell relaxed with PBE, using copper Kα.
No peak broadening, texture or thermal motion is included.

Most intense lines, 2θ = 5–70°, sorted by position:
Position (°2θ), intensity
10.60, 15
21.28, 14
32.05, 11
34.78, 58
40.55, 11
41.14, 100
42.99, 13
43.35, 13
44.40, 17
44.67, 16
48.09, 15
66.70, 40

Cell and atoms:
abc: 8.865 8.865 8.865
angles: 33.83 33.83 33.83
Fractional coordinates of all 12 atoms:
La: 0.000 0.000 0.000
Sm: 0.140 0.140 0.140
Sm: 0.860 0.860 0.860
Ni: 0.087 0.586 0.586
Ni: 0.414 0.414 0.913
Ni: 0.414 0.913 0.414
Ni: 0.500 0.500 0.500
Ni: 0.586 0.087 0.586
Ni: 0.586 0.586 0.087
Ni: 0.913 0.414 0.414
Pt: 0.332 0.332 0.332
Pt: 0.668 0.668 0.668

***

3.
The following is a theoretical powder diffractogram of LaScSi4Ni2. It was derived from a cell relaxed with PBE, using copper Kα.
No peak broadening, texture or thermal motion is included.

Most intense lines, 2θ = 5–70°, sorted by position:
Position (°2θ), intensity
10.79, 62
31.26, 46
31.95, 98
35.24, 85
35.60, 100
39.97, 44
44.83, 42
45.37, 41
55.32, 23
58.72, 37
61.60, 24
65.68, 29

Cell and atoms:
abc: 3.998 8.442 8.442
angles: 27.72 90.00 90.00
Fractional coordinates of all 8 atoms:
La: 0.000 0.000 0.000
Sc: 0.500 0.212 0.212
Si: 0.000 0.350 0.350
Si: 0.000 0.648 0.648
Si: 0.500 0.569 0.569
Si: 0.500 0.851 0.851
Ni: 0.000 0.782 0.782
Ni: 0.500 0.424 0.424

***

4.
The following is a theoretical powder diffractogram of LaTbSi4Ni2. It was derived from a cell relaxed with PBE, using copper Kα.
No peak broadening, texture or thermal motion is included.

Most intense lines, 2θ = 5–70°, sorted by position:
Position (°2θ), intensity
21.56, 30
24.49, 28
30.96, 29
31.45, 83
34.85, 80
35.10, 100
39.64, 40
43.94, 36
44.77, 33
57.95, 36
60.65, 26
64.53, 23

Cell and atoms:
abc: 4.049 8.496 8.496
angles: 28.07 90.00 90.00
Fractional coordinates of all 8 atoms:
La: 0.000 0.000 0.000
Tb: 0.500 0.213 0.213
Si: 0.000 0.354 0.354
Si: 0.000 0.648 0.648
Si: 0.500 0.568 0.568
Si: 0.500 0.854 0.854
Ni: 0.000 0.785 0.785
Ni: 0.500 0.424 0.424

***

5.
The following is a theoretical powder diffractogram of LaTbSi4Ni2. It was derived from a cell relaxed with PBE, using copper Kα.
No peak broadening, texture or thermal motion is included.

Most intense lines, 2θ = 5–70°, sorted by position:
Position (°2θ), intensity
21.69, 29
24.54, 28
31.07, 29
31.42, 83
34.94, 80
35.12, 100
39.82, 40
43.82, 36
44.81, 33
58.05, 36
60.69, 22
64.47, 22

Cell and atoms:
abc: 4.132 4.045 8.448
angles: 90.00 104.07 90.00
Fractional coordinates of all 8 atoms:
La: 0.000 0.000 0.000
Tb: 0.786 0.500 0.574
Si: 0.145 0.500 0.292
Si: 0.351 0.000 0.704
Si: 0.432 0.500 0.864
Si: 0.650 0.000 0.294
Ni: 0.217 0.000 0.429
Ni: 0.575 0.500 0.152

***

6.
The following is a theoretical powder diffractogram of LaYSi4Ni2. It was derived from a cell relaxed with PBE, using copper Kα.
No peak broadening, texture or thermal motion is included.

Most intense lines, 2θ = 5–70°, sorted by position:
Position (°2θ), intensity
30.98, 34
31.52, 88
34.87, 84
35.17, 100
39.65, 43
44.07, 40
44.87, 38
49.61, 25
54.84, 36
58.05, 37
60.76, 24
64.71, 24

Cell and atoms:
abc: 4.109 4.040 8.501
angles: 90.00 103.95 90.00
Fractional coordinates of all 8 atoms:
La: 0.000 0.000 0.000
Y: 0.787 0.500 0.574
Si: 0.145 0.500 0.292
Si: 0.352 0.000 0.703
Si: 0.432 0.500 0.864
Si: 0.649 0.000 0.293
Ni: 0.217 0.000 0.430
Ni: 0.574 0.500 0.150

***

Repeat the first record exactly.
The following is a theoretical powder diffractogram of La2SmNiPt8. It was derived from a cell relaxed with PBE, using copper Kα.
No peak broadening, texture or thermal motion is included.

Most intense lines, 2θ = 5–70°, sorted by position:
Position (°2θ), intensity
19.06, 14
30.24, 25
32.80, 13
38.21, 41
38.75, 100
40.50, 24
40.79, 27
41.82, 45
42.03, 16
45.21, 20
62.55, 34
68.76, 27

Cell and atoms:
abc: 9.394 9.394 9.394
angles: 33.80 33.80 33.80
Fractional coordinates of all 12 atoms:
La: 0.140 0.140 0.140
La: 0.860 0.860 0.860
Sm: 0.000 0.000 0.000
Ni: 0.500 0.500 0.500
Pt: 0.086 0.586 0.586
Pt: 0.332 0.332 0.332
Pt: 0.414 0.414 0.914
Pt: 0.414 0.914 0.414
Pt: 0.586 0.086 0.586
Pt: 0.586 0.586 0.086
Pt: 0.668 0.668 0.668
Pt: 0.914 0.414 0.414

***

What did the third record say?
The following is a theoretical powder diffractogram of LaScSi4Ni2. It was derived from a cell relaxed with PBE, using copper Kα.
No peak broadening, texture or thermal motion is included.

Most intense lines, 2θ = 5–70°, sorted by position:
Position (°2θ), intensity
10.79, 62
31.26, 46
31.95, 98
35.24, 85
35.60, 100
39.97, 44
44.83, 42
45.37, 41
55.32, 23
58.72, 37
61.60, 24
65.68, 29

Cell and atoms:
abc: 3.998 8.442 8.442
angles: 27.72 90.00 90.00
Fractional coordinates of all 8 atoms:
La: 0.000 0.000 0.000
Sc: 0.500 0.212 0.212
Si: 0.000 0.350 0.350
Si: 0.000 0.648 0.648
Si: 0.500 0.569 0.569
Si: 0.500 0.851 0.851
Ni: 0.000 0.782 0.782
Ni: 0.500 0.424 0.424

***

- Which formula does entry 6 have?
  LaYSi4Ni2